For Pr4Pb3Br, a cell relaxed with GGA-PBE gives the calculated X-ray diffraction stick pattern in this record (copper Kα).

Most intense lines, 2θ = 5–70°, low angle first:
hkl 1 1 1, 2θ 15.37, rel. 4; hkl 2 0 2, 2θ 23.91, rel. 2; hkl 2 2 0, 2θ 27.68, rel. 100; hkl 3 1 1, 2θ 31.81, rel. 2; hkl 3 1 3, 2θ 37.57, rel. 2; hkl 2 2 4, 2θ 39.53, rel. 65; hkl 4 0 0, 2θ 39.61, rel. 13; hkl 0 4 4, 2θ 48.90, rel. 14; hkl 4 0 4, 2θ 49.01, rel. 14; hkl 4 4 0, 2θ 57.17, rel. 13; hkl 4 4 4, 2θ 64.66, rel. 31; hkl 6 2 0, 2θ 64.76, rel. 6

```
data_Pr4Pb3Br
_chemical_formula_sum 'Pr16 Pb12 Br4'
_space_group_name_H-M_alt 'F m m m'
_space_group_IT_number 69
_space_group_name_Hall '-F 2 2'
_cell_length_a 9.101
_cell_length_b 9.129
_cell_length_c 12.891
_cell_angle_alpha 90.00
_cell_angle_beta 90.00
_cell_angle_gamma 90.00
loop_
_atom_site_label
_atom_site_type_symbol
_atom_site_fract_x
_atom_site_fract_y
_atom_site_fract_z
Pr1 Pr 0.000 0.000 0.249
Pr2 Pr 0.250 0.250 0.000
Pb1 Pb 0.000 0.000 0.500
Pb2 Pb 0.250 0.250 0.250
Br1 Br 0.000 0.000 0.000
```

---

For PtPbBr6, a cell relaxed with GGA-PBE gives the calculated X-ray diffraction stick pattern in this record (copper Kα).

Most intense lines, 2θ = 5–70°, low angle first:
hkl 0 1 2, 2θ 17.75, rel. 100; hkl 1 0 4, 2θ 24.13, rel. 62; hkl 1 1 3, 2θ 29.87, rel. 60; hkl 2 0 2, 2θ 31.85, rel. 34; hkl 2 -1 6, 2θ 38.96, rel. 76; hkl 0 1 8, 2θ 41.11, rel. 13; hkl 3 -2 2, 2θ 41.72, rel. 28; hkl 3 -1 4, 2θ 45.04, rel. 27; hkl 3 0 0, 2θ 46.29, rel. 34; hkl 1 2 8, 2θ 56.81, rel. 14; hkl 1 3 4, 2θ 59.96, rel. 15; hkl 2 2 6, 2θ 62.05, rel. 15

```
data_PtPbBr6
_chemical_formula_sum 'Pt3 Pb3 Br18'
_space_group_name_H-M_alt 'R -3'
_space_group_IT_number 148
_space_group_name_Hall '-R 3'
_cell_length_a 6.7947
_cell_length_b 6.7947
_cell_length_c 18.9308
_cell_angle_alpha 90.00
_cell_angle_beta 90.00
_cell_angle_gamma 120.00
loop_
_atom_site_label
_atom_site_type_symbol
_atom_site_fract_x
_atom_site_fract_y
_atom_site_fract_z
Pt1 Pt 0.0000 0.0000 0.0000
Pb1 Pb 0.0000 0.0000 0.5000
Br1 Br 0.0117 0.6253 0.5908
```

---

For PtPbBr6, a cell relaxed with GGA-PBE gives the calculated X-ray diffraction stick pattern in this record (copper Kα).

Most intense lines, 2θ = 5–70°, low angle first:
hkl 1 1 0, 2θ 13.00, rel. 35; hkl 1 1 1, 2θ 15.41, rel. 100; hkl 2 0 -2, 2θ 22.60, rel. 30; hkl 2 0 2, 2θ 22.85, rel. 38; hkl 2 2 0, 2θ 26.17, rel. 16; hkl 3 1 -2, 2θ 30.51, rel. 33; hkl 3 1 2, 2θ 30.80, rel. 18; hkl 1 3 0, 2θ 32.63, rel. 37; hkl 1 3 -1, 2θ 33.69, rel. 24; hkl 3 1 3, 2θ 36.22, rel. 18; hkl 4 2 -2, 2θ 41.53, rel. 35; hkl 2 2 4, 2θ 43.02, rel. 17

```
data_PtPbBr6
_chemical_formula_sum 'Pt4 Pb4 Br24'
_space_group_name_H-M_alt 'C 1 2/c 1'
_space_group_IT_number 15
_cell_length_a 11.416
_cell_length_b 8.484
_cell_length_c 10.750
_cell_angle_alpha 90.00
_cell_angle_beta 90.63
_cell_angle_gamma 90.00
loop_
_space_group_symop_operation_xyz
'x,y,z'
'-x,-y,-z'
'-x,y,-z+1/2'
'x,-y,z+1/2'
'x+1/2,y+1/2,z'
'-x+1/2,-y+1/2,-z'
'-x+1/2,y+1/2,-z+1/2'
'x+1/2,-y+1/2,z+1/2'
loop_
_atom_site_label
_atom_site_type_symbol
_atom_site_fract_x
_atom_site_fract_y
_atom_site_fract_z
Pt1 Pt 0.250 0.250 0.000
Pb1 Pb 0.000 0.011 0.250
Br1 Br 0.070 0.324 0.117
Br2 Br 0.143 0.299 0.800
Br3 Br 0.177 0.029 0.498
```

---

For RbPtPbBr6, a cell relaxed with GGA-PBE gives the calculated X-ray diffraction stick pattern in this record (copper Kα).

Most intense lines, 2θ = 5–70°, low angle first:
hkl 0 0 1, 2θ 11.90, rel. 100; hkl 1 0 0, 2θ 13.54, rel. 22; hkl 1 0 -1, 2θ 17.75, rel. 38; hkl 1 0 1, 2θ 18.36, rel. 34; hkl 1 -1 1, 2θ 18.52, rel. 40; hkl 1 1 -1, 2θ 25.72, rel. 36; hkl 2 -1 1, 2θ 27.31, rel. 59; hkl 1 1 -2, 2θ 32.88, rel. 40; hkl 1 -2 2, 2θ 34.00, rel. 20; hkl -1 2 2, 2θ 34.67, rel. 57; hkl 3 0 0, 2θ 41.42, rel. 35; hkl -2 1 3, 2θ 43.67, rel. 30

```
data_RbPtPbBr6
_chemical_formula_sum 'Rb1 Pt1 Pb1 Br6'
_space_group_name_H-M_alt 'P 1'
_space_group_IT_number 1
_cell_length_a 7.344
_cell_length_b 7.347
_cell_length_c 7.446
_cell_angle_alpha 91.16
_cell_angle_beta 91.19
_cell_angle_gamma 117.02
loop_
_space_group_symop_operation_xyz
'x,y,z'
loop_
_atom_site_label
_atom_site_type_symbol
_atom_site_fract_x
_atom_site_fract_y
_atom_site_fract_z
Rb1 Rb 0.000 0.000 0.000
Pt1 Pt 0.668 0.332 0.500
Pb1 Pb 0.320 0.680 0.500
Br1 Br 0.390 0.337 0.304
Br2 Br 0.398 0.041 0.735
Br3 Br 0.656 0.042 0.308
Br4 Br 0.662 0.609 0.697
Br5 Br 0.958 0.345 0.693
Br6 Br 0.958 0.603 0.266
```

---

For Rb4PbBr6, a cell relaxed with GGA-PBE gives the calculated X-ray diffraction stick pattern in this record (copper Kα).

Most intense lines, 2θ = 5–70°, low angle first:
hkl 0 1 2, 2θ 12.99, rel. 76; hkl 3 0 0, 2θ 22.65, rel. 27; hkl 0 2 4, 2θ 26.10, rel. 28; hkl 1 3 1, 2θ 27.82, rel. 40; hkl 2 1 4, 2θ 29.29, rel. 100; hkl 2 2 3, 2θ 30.79, rel. 62; hkl 4 1 0, 2θ 34.88, rel. 33; hkl 3 2 4, 2θ 39.69, rel. 31; hkl 2 2 6, 2θ 41.86, rel. 12; hkl 6 0 0, 2θ 46.24, rel. 19; hkl 5 2 0, 2θ 48.25, rel. 15; hkl 3 5 4, 2θ 59.18, rel. 24

```
data_Rb4PbBr6
_chemical_formula_sum 'Rb24 Pb6 Br36'
_space_group_name_H-M_alt 'R -3 c'
_space_group_IT_number 167
_space_group_name_Hall '-R 3 2"c'
_cell_length_a 13.6003
_cell_length_b 13.6003
_cell_length_c 16.7567
_cell_angle_alpha 90.00
_cell_angle_beta 90.00
_cell_angle_gamma 120.00
loop_
_atom_site_label
_atom_site_type_symbol
_atom_site_fract_x
_atom_site_fract_y
_atom_site_fract_z
Rb1 Rb 0.0000 0.0000 0.2500
Rb2 Rb 0.0000 0.3792 0.2500
Pb1 Pb 0.0000 0.0000 0.0000
Br1 Br 0.0332 0.1969 0.3941
```

---

For RbTbPb2Br8, a cell relaxed with GGA-PBE gives the calculated X-ray diffraction stick pattern in this record (copper Kα).

Most intense lines, 2θ = 5–70°, low angle first:
hkl 1 1 0, 2θ 17.56, rel. 100; hkl 1 -1 0, 2θ 17.89, rel. 90; hkl 1 0 -2, 2θ 22.94, rel. 91; hkl 1 1 2, 2θ 25.92, rel. 39; hkl 1 1 -2, 2θ 25.95, rel. 39; hkl 1 -2 0, 2θ 27.95, rel. 43; hkl 1 2 2, 2θ 33.63, rel. 41; hkl 1 -2 2, 2θ 33.97, rel. 40; hkl 2 1 2, 2θ 34.39, rel. 80; hkl -2 1 2, 2θ 34.74, rel. 84; hkl 0 0 4, 2θ 38.40, rel. 42; hkl 0 3 -2, 2θ 41.97, rel. 70

```
data_RbTbPb2Br8
_chemical_formula_sum 'Rb1 Tb1 Pb2 Br8'
_space_group_name_H-M_alt 'P -1'
_space_group_IT_number 2
_cell_length_a 6.897
_cell_length_b 7.271
_cell_length_c 9.377
_cell_angle_alpha 89.97
_cell_angle_beta 89.93
_cell_angle_gamma 88.96
loop_
_space_group_symop_operation_xyz
'x,y,z'
'-x,-y,-z'
loop_
_atom_site_label
_atom_site_type_symbol
_atom_site_fract_x
_atom_site_fract_y
_atom_site_fract_z
Rb1 Rb 0.000 0.000 0.000
Tb1 Tb 0.000 0.000 0.500
Pb1 Pb 0.500 0.500 0.251
Br1 Br 0.240 0.319 0.500
Br2 Br 0.241 0.844 0.712
Br3 Br 0.242 0.845 0.288
Br4 Br 0.269 0.378 0.000
```

---

For RbTiPb2Br8, a cell relaxed with GGA-PBE gives the calculated X-ray diffraction stick pattern in this record (copper Kα).

Most intense lines, 2θ = 5–70°, low angle first:
hkl 0 1 0, 2θ 12.48, rel. 28; hkl 1 1 0, 2θ 17.94, rel. 70; hkl 1 -1 0, 2θ 18.45, rel. 66; hkl 1 0 -2, 2θ 23.43, rel. 65; hkl 1 1 -2, 2θ 26.45, rel. 100; hkl 1 -2 0, 2θ 28.79, rel. 56; hkl 1 2 2, 2θ 34.32, rel. 33; hkl 2 1 2, 2θ 35.10, rel. 26; hkl 2 1 -2, 2θ 35.21, rel. 26; hkl -2 1 2, 2θ 35.70, rel. 73; hkl 0 0 4, 2θ 39.12, rel. 28; hkl 0 3 -2, 2θ 43.00, rel. 49

```
data_RbTiPb2Br8
_chemical_formula_sum 'Rb1 Ti1 Pb2 Br8'
_space_group_name_H-M_alt 'P -1'
_space_group_IT_number 2
_cell_length_a 6.715
_cell_length_b 7.097
_cell_length_c 9.211
_cell_angle_alpha 89.97
_cell_angle_beta 89.81
_cell_angle_gamma 88.40
loop_
_space_group_symop_operation_xyz
'x,y,z'
'-x,-y,-z'
loop_
_atom_site_label
_atom_site_type_symbol
_atom_site_fract_x
_atom_site_fract_y
_atom_site_fract_z
Rb1 Rb 0.000 0.000 0.000
Ti1 Ti 0.000 0.000 0.500
Pb1 Pb 0.499 0.500 0.258
Br1 Br 0.219 0.305 0.500
Br2 Br 0.231 0.854 0.698
Br3 Br 0.233 0.855 0.301
Br4 Br 0.266 0.384 0.000
```

---

For RbTlPbBr4, a cell relaxed with GGA-PBE gives the calculated X-ray diffraction stick pattern in this record (copper Kα).

Most intense lines, 2θ = 5–70°, low angle first:
hkl 0 0 2, 2θ 10.34, rel. 49; hkl 1 0 1, 2θ 15.75, rel. 24; hkl 1 1 0, 2θ 21.09, rel. 84; hkl 1 0 3, 2θ 21.57, rel. 56; hkl 2 0 0, 2θ 30.00, rel. 100; hkl 1 0 5, 2θ 30.11, rel. 52; hkl 0 0 6, 2θ 31.36, rel. 31; hkl 2 1 3, 2θ 37.25, rel. 29; hkl 2 2 0, 2θ 42.98, rel. 77; hkl 2 0 6, 2θ 43.95, rel. 49; hkl 2 2 6, 2θ 54.13, rel. 26; hkl 4 0 0, 2θ 62.38, rel. 26

```
data_RbTlPbBr4
_chemical_formula_sum 'Rb2 Tl2 Pb2 Br8'
_space_group_name_H-M_alt 'I 4 m m'
_space_group_IT_number 107
_space_group_name_Hall 'I 4 -2'
_cell_length_a 5.957
_cell_length_b 5.957
_cell_length_c 17.117
_cell_angle_alpha 90.00
_cell_angle_beta 90.00
_cell_angle_gamma 90.00
loop_
_atom_site_label
_atom_site_type_symbol
_atom_site_fract_x
_atom_site_fract_y
_atom_site_fract_z
Rb1 Rb 0.000 0.000 0.000
Tl1 Tl 0.000 0.000 0.723
Pb1 Pb 0.000 0.000 0.365
Br1 Br 0.000 0.000 0.195
Br2 Br 0.000 0.000 0.548
Br3 Br 0.000 0.500 0.370
```

---

For Rb2VPbBr6, a cell relaxed with GGA-PBE gives the calculated X-ray diffraction stick pattern in this record (copper Kα).

Most intense lines, 2θ = 5–70°, low angle first:
hkl 1 0 1, 2θ 13.26, rel. 35; hkl 0 1 2, 2θ 13.76, rel. 37; hkl 0 1 5, 2θ 16.86, rel. 20; hkl 1 1 0, 2θ 22.76, rel. 27; hkl 0 2 4, 2θ 27.72, rel. 17; hkl 2 0 5, 2θ 28.46, rel. 26; hkl 0 2 7, 2θ 30.37, rel. 100; hkl 0 2 10, 2θ 34.10, rel. 19; hkl 1 1 12, 2θ 34.51, rel. 20; hkl 2 0 11, 2θ 35.54, rel. 38; hkl 2 0 17, 2θ 45.62, rel. 17; hkl 2 2 0, 2θ 46.49, rel. 47

```
data_Rb2VPbBr6
_chemical_formula_sum 'Rb12 V6 Pb6 Br36'
_space_group_name_H-M_alt 'R -3 m'
_space_group_IT_number 166
_space_group_name_Hall '-R 3 2"'
_cell_length_a 7.8127
_cell_length_b 7.8127
_cell_length_c 41.7814
_cell_angle_alpha 90.00
_cell_angle_beta 90.00
_cell_angle_gamma 120.00
loop_
_atom_site_label
_atom_site_type_symbol
_atom_site_fract_x
_atom_site_fract_y
_atom_site_fract_z
Rb1 Rb 0.0000 0.0000 0.1301
Rb2 Rb 0.0000 0.0000 0.3048
V1 V 0.0000 0.0000 0.0000
V2 V 0.0000 0.0000 0.5000
Pb1 Pb 0.0000 0.0000 0.4157
Br1 Br 0.0086 0.5043 0.1305
Br2 Br 0.0181 0.5090 0.7037
```

---

For PbSBr, a cell relaxed with GGA-PBE gives the calculated X-ray diffraction stick pattern in this record (copper Kα).

Most intense lines, 2θ = 5–70°, low angle first:
hkl 1 1 0, 2θ 18.49, rel. 100; hkl 0 4 0, 2θ 19.71, rel. 62; hkl 1 1 -1, 2θ 21.80, rel. 32; hkl 0 0 1, 2θ 25.21, rel. 58; hkl 1 3 -1, 2θ 25.95, rel. 29; hkl 2 0 -1, 2θ 30.28, rel. 51; hkl 1 5 0, 2θ 30.62, rel. 68; hkl 0 4 1, 2θ 32.20, rel. 52; hkl 1 5 -1, 2θ 32.79, rel. 77; hkl 2 4 -1, 2θ 36.39, rel. 51; hkl 2 4 0, 2θ 41.49, rel. 53; hkl 0 8 1, 2θ 47.92, rel. 37

```
data_PbSBr
_chemical_formula_sum 'Pb4 S4 Br4'
_space_group_name_H-M_alt 'C 1 m 1'
_space_group_IT_number 8
_cell_length_a 5.996
_cell_length_b 18.021
_cell_length_c 4.254
_cell_angle_alpha 90.00
_cell_angle_beta 123.87
_cell_angle_gamma 90.00
loop_
_space_group_symop_operation_xyz
'x,y,z'
'x,-y,z'
'x+1/2,y+1/2,z'
'x+1/2,-y+1/2,z'
loop_
_atom_site_label
_atom_site_type_symbol
_atom_site_fract_x
_atom_site_fract_y
_atom_site_fract_z
Pb1 Pb 0.000 0.119 0.000
S1 S 0.098 0.000 0.579
S2 S 0.224 0.500 0.047
Br1 Br 0.136 0.316 0.248
```

---

For Sr2PbS2Br2, a cell relaxed with GGA-PBE gives the calculated X-ray diffraction stick pattern in this record (copper Kα).

Most intense lines, 2θ = 5–70°, low angle first:
hkl 0 0 2, 2θ 11.25, rel. 31; hkl 1 0 1, 2θ 17.08, rel. 24; hkl 1 1 0, 2θ 22.87, rel. 99; hkl 1 0 3, 2θ 23.44, rel. 21; hkl 2 0 0, 2θ 32.57, rel. 68; hkl 1 0 5, 2θ 32.79, rel. 100; hkl 2 2 0, 2θ 46.73, rel. 24; hkl 2 1 5, 2θ 46.89, rel. 73; hkl 3 1 0, 2θ 52.64, rel. 22; hkl 3 0 5, 2θ 58.26, rel. 19; hkl 3 2 5, 2θ 68.36, rel. 24; hkl 2 0 10, 2θ 68.75, rel. 13

```
data_Sr2PbS2Br2
_chemical_formula_sum 'Sr4 Pb2 S4 Br4'
_space_group_name_H-M_alt 'I 4/m m m'
_space_group_IT_number 139
_space_group_name_Hall '-I 4 2'
_cell_length_a 5.499
_cell_length_b 5.499
_cell_length_c 15.732
_cell_angle_alpha 90.00
_cell_angle_beta 90.00
_cell_angle_gamma 90.00
loop_
_atom_site_label
_atom_site_type_symbol
_atom_site_fract_x
_atom_site_fract_y
_atom_site_fract_z
Sr1 Sr 0.000 0.000 0.113
Pb1 Pb 0.000 0.000 0.500
S1 S 0.000 0.500 0.000
Br1 Br 0.000 0.000 0.301
```

---

For SbPb2Br, a cell relaxed with GGA-PBE gives the calculated X-ray diffraction stick pattern in this record (copper Kα).

Most intense lines, 2θ = 5–70°, low angle first:
hkl 1 1 1, 2θ 23.62, rel. 27; hkl 0 0 4, 2θ 26.76, rel. 45; hkl 0 2 0, 2θ 27.63, rel. 100; hkl 0 1 5, 2θ 36.47, rel. 11; hkl 2 0 2, 2θ 38.85, rel. 68; hkl 2 2 -2, 2θ 39.48, rel. 39; hkl 2 1 3, 2θ 46.36, rel. 11; hkl 1 3 1, 2θ 46.52, rel. 10; hkl 2 2 2, 2θ 48.34, rel. 36; hkl 0 4 0, 2θ 57.06, rel. 13; hkl 0 4 4, 2θ 64.11, rel. 16; hkl 4 2 -4, 2θ 64.56, rel. 23

```
data_SbPb2Br
_chemical_formula_sum 'Sb4 Pb8 Br4'
_space_group_name_H-M_alt 'P 1 2/c 1'
_space_group_IT_number 13
_cell_length_a 6.457
_cell_length_b 6.455
_cell_length_c 14.798
_cell_angle_alpha 90.00
_cell_angle_beta 115.77
_cell_angle_gamma 90.00
loop_
_space_group_symop_operation_xyz
'x,y,z'
'-x,-y,-z'
'-x,y,-z+1/2'
'x,-y,z+1/2'
loop_
_atom_site_label
_atom_site_type_symbol
_atom_site_fract_x
_atom_site_fract_y
_atom_site_fract_z
Sb1 Sb 0.125 0.249 0.125
Pb1 Pb 0.104 0.251 0.604
Pb2 Pb 0.354 0.249 0.354
Br1 Br 0.375 0.251 0.875
```

---

For SbPb3Br3, a cell relaxed with GGA-PBE gives the calculated X-ray diffraction stick pattern in this record (copper Kα).

Most intense lines, 2θ = 5–70°, low angle first:
hkl 0 0 1, 2θ 6.91, rel. 36; hkl 1 0 0, 2θ 9.69, rel. 18; hkl 1 0 1, 2θ 12.32, rel. 20; hkl 2 1 0, 2θ 27.63, rel. 100; hkl 0 0 4, 2θ 27.90, rel. 51; hkl 2 1 3, 2θ 35.74, rel. 14; hkl 2 1 -4, 2θ 38.58, rel. 38; hkl 0 2 0, 2θ 39.44, rel. 21; hkl 4 0 0, 2θ 39.50, rel. 14; hkl 2 1 4, 2θ 40.73, rel. 37; hkl 0 2 4, 2θ 49.00, rel. 26; hkl 4 2 0, 2θ 57.08, rel. 15

```
data_SbPb3Br3
_chemical_formula_sum 'Sb2 Pb6 Br6'
_space_group_name_H-M_alt 'P 1 21/m 1'
_space_group_IT_number 11
_cell_length_a 9.149
_cell_length_b 4.570
_cell_length_c 12.828
_cell_angle_alpha 90.00
_cell_angle_beta 94.23
_cell_angle_gamma 90.00
loop_
_space_group_symop_operation_xyz
'x,y,z'
'-x,-y,-z'
'-x,y+1/2,-z'
'x,-y+1/2,z'
loop_
_atom_site_label
_atom_site_type_symbol
_atom_site_fract_x
_atom_site_fract_y
_atom_site_fract_z
Sb1 Sb 0.138 0.250 0.132
Pb1 Pb 0.099 0.250 0.885
Pb2 Pb 0.156 0.250 0.378
Pb3 Pb 0.374 0.750 0.133
Br1 Br 0.074 0.250 0.629
Br2 Br 0.362 0.750 0.890
Br3 Br 0.383 0.750 0.374
```